Record 1
Theoretical PXRD pattern of Zn2FeS3 for λ = 1.5418 Å (Cu Kα), from a crystal structure in Alexandria, relaxed with GGA-PBE.
Neutral-atom scattering factors, no anomalous dispersion.

Peak list (10 most intense, 2θ from 15° to 90°, by angle)
2θ (°), I (rel.)
26.9, 95
28.3, 60
30.5, 100
39.4, 36
47.5, 73
51.5, 75
56.2, 47
57.5, 16
72.7, 25
81.7, 17

Unit cell a=7.3773 b=7.3773 c=7.3773 alpha=53.39 beta=53.39 gamma=53.39
Element x y z (fractional)
Zn: 0.0000 0.0000 0.0000
Zn: 0.1662 0.4991 0.8332
Zn: 0.4991 0.8332 0.1662
Zn: 0.8332 0.1662 0.4991
Fe: 0.3328 0.3328 0.3328
Fe: 0.6662 0.6662 0.6662
S: 0.0415 0.3774 0.7052
S: 0.2096 0.2096 0.2096
S: 0.3774 0.7052 0.0415
S: 0.5429 0.5429 0.5429
S: 0.7052 0.0415 0.3774
S: 0.8753 0.8753 0.8753

***

Record 2
Theoretical PXRD pattern of CePr3Te4 for λ = 1.5418 Å (Cu Kα), from a crystal structure in Alexandria, relaxed with GGA-PBE.
Neutral-atom scattering factors, no anomalous dispersion.

Peak list (10 most intense, 2θ from 15° to 90°, by angle)
2θ (°), I (rel.)
27.9, 100
39.5, 13
39.9, 51
40.2, 12
49.1, 14
49.7, 14
57.7, 13
65.3, 24
71.9, 9
72.9, 9

Unit cell a=7.8533 b=7.8533 c=4.4852 alpha=90.00 beta=90.00 gamma=108.98
Element x y z (fractional)
Ce: 0.0000 0.0000 0.0000
Pr: 0.0000 0.5000 0.5000
Pr: 0.5000 0.0000 0.5000
Pr: 0.5000 0.5000 0.0000
Te: 0.2479 0.2479 0.5000
Te: 0.2486 0.7514 0.0000
Te: 0.7514 0.2486 0.0000
Te: 0.7521 0.7521 0.5000

***

Record 3
Theoretical PXRD pattern of IrOsAu4 for λ = 1.5418 Å (Cu Kα), from a crystal structure in Alexandria, relaxed with GGA-PBE.
Neutral-atom scattering factors, no anomalous dispersion.

Peak list (10 most intense, 2θ from 15° to 90°, by angle)
2θ (°), I (rel.)
20.4, 7
33.5, 25
39.5, 100
41.4, 42
48.2, 6
60.0, 10
64.0, 33
70.5, 29
84.0, 12
85.2, 17

Unit cell a=5.3440 b=5.3440 c=5.3440 alpha=60.00 beta=60.00 gamma=60.00
Element x y z (fractional)
Ir: 0.0000 0.0000 0.0000
Os: 0.2500 0.2500 0.2500
Au: 0.1250 0.6250 0.6250
Au: 0.6250 0.1250 0.6250
Au: 0.6250 0.6250 0.1250
Au: 0.6250 0.6250 0.6250

***

Record 4
Theoretical PXRD pattern of Ta2NbIr5Ru for λ = 1.5418 Å (Cu Kα), from a crystal structure in Alexandria, relaxed with GGA-PBE.
Neutral-atom scattering factors, no anomalous dispersion.

Peak list (10 most intense, 2θ from 15° to 90°, by angle)
2θ (°), I (rel.)
16.4, 20
33.7, 61
36.5, 97
37.8, 39
41.1, 100
41.5, 22
44.2, 33
50.1, 28
50.8, 30
56.5, 20

Unit cell a=7.5907 b=7.5907 c=7.5907 alpha=120.60 beta=120.60 gamma=88.96
Element x y z (fractional)
Ta: 0.1174 0.6174 0.7348
Ta: 0.3826 0.1174 0.5000
Ta: 0.6174 0.8826 0.5000
Ta: 0.8826 0.3826 0.2652
Nb: 0.2500 0.2500 0.0000
Nb: 0.7500 0.7500 0.0000
Ir: 0.0000 0.0000 0.0000
Ir: 0.0645 0.1737 0.5000
Ir: 0.1737 0.6737 0.1092
Ir: 0.3263 0.4355 0.5000
Ir: 0.4355 0.9355 0.1092
Ir: 0.5000 0.5000 0.0000
Ir: 0.5645 0.0645 0.8908
Ir: 0.6737 0.5645 0.5000
Ir: 0.8263 0.3263 0.8908
Ir: 0.9355 0.8263 0.5000
Ru: 0.2500 0.7500 0.5000
Ru: 0.7500 0.2500 0.5000

***

Record 5
Theoretical PXRD pattern of Sr2ZnGe2 for λ = 1.5418 Å (Cu Kα), from a crystal structure in Alexandria, relaxed with GGA-PBE.
Neutral-atom scattering factors, no anomalous dispersion.

Peak list (10 most intense, 2θ from 15° to 90°, by angle)
2θ (°), I (rel.)
30.7, 45
30.8, 100
31.0, 25
32.2, 22
33.7, 36
36.9, 19
37.4, 20
37.9, 54
38.3, 65
61.7, 18

Unit cell a=6.0515 b=6.0515 c=11.1736 alpha=116.76 beta=116.76 gamma=46.24
Element x y z (fractional)
Sr: 0.0125 0.0125 0.3309
Sr: 0.1868 0.1868 0.1058
Sr: 0.8132 0.8132 0.8942
Sr: 0.9875 0.9875 0.6691
Zn: 0.2799 0.2799 0.6475
Zn: 0.7201 0.7201 0.3525
Ge: 0.3613 0.3613 0.4476
Ge: 0.4878 0.4878 0.1146
Ge: 0.5122 0.5122 0.8854
Ge: 0.6387 0.6387 0.5524

***

Record 6
Theoretical PXRD pattern of Ir2PdRh9 for λ = 1.5418 Å (Cu Kα), from a crystal structure in Alexandria, relaxed with GGA-PBE.
Neutral-atom scattering factors, no anomalous dispersion.

Peak list (10 most intense, 2θ from 15° to 90°, by angle)
2θ (°), I (rel.)
23.1, 4
32.9, 4
40.5, 100
47.1, 16
47.2, 32
58.7, 2
68.9, 31
83.0, 12
83.2, 25
87.7, 11

Unit cell a=3.8509 b=3.8509 c=11.5817 alpha=90.00 beta=90.00 gamma=90.00
Element x y z (fractional)
Ir: 0.0000 0.0000 0.1682
Ir: 0.0000 0.0000 0.8318
Pd: 0.0000 0.0000 0.5000
Rh: 0.0000 0.5000 0.0000
Rh: 0.0000 0.5000 0.3298
Rh: 0.0000 0.5000 0.6702
Rh: 0.5000 0.0000 0.0000
Rh: 0.5000 0.0000 0.3298
Rh: 0.5000 0.0000 0.6702
Rh: 0.5000 0.5000 0.1648
Rh: 0.5000 0.5000 0.5000
Rh: 0.5000 0.5000 0.8352

***

Please write out number 2 again, unchanged.
Theoretical PXRD pattern of CePr3Te4 for λ = 1.5418 Å (Cu Kα), from a crystal structure in Alexandria, relaxed with GGA-PBE.
Neutral-atom scattering factors, no anomalous dispersion.

Peak list (10 most intense, 2θ from 15° to 90°, by angle)
2θ (°), I (rel.)
27.9, 100
39.5, 13
39.9, 51
40.2, 12
49.1, 14
49.7, 14
57.7, 13
65.3, 24
71.9, 9
72.9, 9

Unit cell a=7.8533 b=7.8533 c=4.4852 alpha=90.00 beta=90.00 gamma=108.98
Element x y z (fractional)
Ce: 0.0000 0.0000 0.0000
Pr: 0.0000 0.5000 0.5000
Pr: 0.5000 0.0000 0.5000
Pr: 0.5000 0.5000 0.0000
Te: 0.2479 0.2479 0.5000
Te: 0.2486 0.7514 0.0000
Te: 0.7514 0.2486 0.0000
Te: 0.7521 0.7521 0.5000

***

Copy entry 1 word for word.
Theoretical PXRD pattern of Zn2FeS3 for λ = 1.5418 Å (Cu Kα), from a crystal structure in Alexandria, relaxed with GGA-PBE.
Neutral-atom scattering factors, no anomalous dispersion.

Peak list (10 most intense, 2θ from 15° to 90°, by angle)
2θ (°), I (rel.)
26.9, 95
28.3, 60
30.5, 100
39.4, 36
47.5, 73
51.5, 75
56.2, 47
57.5, 16
72.7, 25
81.7, 17

Unit cell a=7.3773 b=7.3773 c=7.3773 alpha=53.39 beta=53.39 gamma=53.39
Element x y z (fractional)
Zn: 0.0000 0.0000 0.0000
Zn: 0.1662 0.4991 0.8332
Zn: 0.4991 0.8332 0.1662
Zn: 0.8332 0.1662 0.4991
Fe: 0.3328 0.3328 0.3328
Fe: 0.6662 0.6662 0.6662
S: 0.0415 0.3774 0.7052
S: 0.2096 0.2096 0.2096
S: 0.3774 0.7052 0.0415
S: 0.5429 0.5429 0.5429
S: 0.7052 0.0415 0.3774
S: 0.8753 0.8753 0.8753